Diffraction record for Dy3InSi2Pt9. The powder X-ray diffraction pattern is simulated, not measured: it uses a GGA-PBE-relaxed structure and Cu Kα (λ = 1.5418 Å).

Peak list (10 most intense, 2θ = 15–90°, low angle first)
| two_theta | intensity |
| --- | --- |
| 23.84 | 74 |
| 30.12 | 14 |
| 37.64 | 95 |
| 40.23 | 100 |
| 49.49 | 37 |
| 55.65 | 17 |
| 66.17 | 26 |
| 71.42 | 22 |
| 78.74 | 23 |
| 80.36 | 14 |

Cell and atoms:
```
15
Lattice="5.6490 0.0000 0.0000 -2.8245 4.8921 0.0000 0.0000 0.0000 11.1966" Properties=species:S:1:pos:R:3 pbc="T T T"
Dy 0.0000 0.0000 0.0000
Dy 0.0000 3.2614 6.7483
Dy 2.8245 1.6307 4.4483
In 0.0000 0.0000 5.5983
Si 0.0000 3.2614 1.7662
Si 2.8245 1.6307 9.4304
Pt -1.4122 2.4461 0.0000
Pt 0.0000 1.6112 3.4507
Pt -1.4291 4.0865 3.4507
Pt 1.3954 0.8056 7.7458
Pt 2.8245 0.0000 0.0000
Pt 1.4122 2.4461 0.0000
Pt 1.4291 4.0865 3.4507
Pt 4.2536 0.8056 7.7458
Pt 2.8245 3.2809 7.7458
```

Diffraction record for HfZn4Au. The powder X-ray diffraction pattern is simulated, not measured: it uses a GGA-PBE-relaxed structure and Cu Kα (λ = 1.5418 Å).

Peak list (10 most intense, 2θ = 15–90°, low angle first)
| two_theta | intensity |
| --- | --- |
| 21.59 | 26 |
| 25.75 | 19 |
| 30.64 | 35 |
| 37.69 | 68 |
| 37.88 | 21 |
| 39.85 | 100 |
| 39.99 | 99 |
| 42.06 | 49 |
| 59.19 | 19 |
| 75.53 | 25 |

Cell and atoms:
```
12
Lattice="4.2971 0.0000 0.0000 0.0000 6.3901 0.0000 -2.0998 0.0000 7.1563" Properties=species:S:1:pos:R:3 pbc="T T T"
Hf 0.0195 1.5975 2.5738
Hf 2.1778 4.7926 4.5824
Zn 0.0248 4.7926 2.6188
Zn 0.0260 0.2530 5.0340
Zn 0.0260 2.9421 5.0340
Zn 0.0455 4.7926 6.7206
Zn 2.1517 1.5975 0.4357
Zn 2.1712 3.4481 2.1222
Zn 2.1712 6.1371 2.1222
Zn 2.1725 1.5975 4.5374
Au 0.0000 0.0000 0.0000
Au 0.0000 3.1951 0.0000
```

Diffraction record for Y3Zn3Cu2. The powder X-ray diffraction pattern is simulated, not measured: it uses a GGA-PBE-relaxed structure and Cu Kα (λ = 1.5418 Å).

Peak list (10 most intense, 2θ = 15–90°, low angle first)
| two_theta | intensity |
| --- | --- |
| 30.71 | 27 |
| 32.68 | 86 |
| 34.92 | 36 |
| 35.14 | 38 |
| 35.63 | 50 |
| 36.77 | 100 |
| 38.44 | 64 |
| 39.40 | 81 |
| 42.46 | 55 |
| 49.74 | 31 |

Cell and atoms:
```
32
Lattice="7.7942 0.0000 0.0000 0.0000 15.4164 0.0000 0.0000 0.0000 5.4067" Properties=species:S:1:pos:R:3 pbc="T T T"
Y 0.3271 1.6385 0.6829
Y 0.3271 6.0697 0.6829
Y 1.3797 3.8541 3.4328
Y 2.5175 11.5623 0.7294
Y 3.5700 9.3467 3.3862
Y 3.5700 13.7779 3.3862
Y 4.2242 1.6385 2.0205
Y 4.2242 6.0697 2.0205
Y 5.2768 3.8541 4.6773
Y 6.4146 11.5623 1.9739
Y 7.4671 9.3467 4.7238
Y 7.4671 13.7779 4.7238
Zn 1.3041 11.5623 3.4112
Zn 1.4196 0.5416 3.2905
Zn 1.4196 7.1666 3.2905
Zn 2.4775 8.2498 0.5871
Zn 2.4775 14.8748 0.5871
Zn 2.5930 3.8541 0.7078
Zn 5.2012 11.5623 4.6989
Zn 5.3167 0.5416 4.8196
Zn 5.3167 7.1666 4.8196
Zn 6.3746 8.2498 2.1162
Zn 6.3746 14.8748 2.1162
Zn 6.4901 3.8541 1.9955
Cu 0.8336 9.3993 2.0498
Cu 0.8336 13.7253 2.0498
Cu 3.0635 1.6911 4.7532
Cu 3.0635 6.0171 4.7532
Cu 4.7307 9.3993 0.6535
Cu 4.7307 13.7253 0.6535
Cu 6.9606 1.6911 3.3569
Cu 6.9606 6.0171 3.3569
```

Diffraction record for LiBe13. The powder X-ray diffraction pattern is simulated, not measured: it uses a GGA-PBE-relaxed structure and Cu Kα (λ = 1.5418 Å).

Peak list (10 most intense, 2θ = 15–90°, low angle first)
| two_theta | intensity |
| --- | --- |
| 17.58 | 85 |
| 39.97 | 16 |
| 43.97 | 40 |
| 53.76 | 100 |
| 54.58 | 27 |
| 57.81 | 9 |
| 63.94 | 6 |
| 66.88 | 7 |
| 69.76 | 8 |
| 88.25 | 10 |

Cell and atoms:
```
28
Lattice="0.0000 5.0439 5.0439 5.0439 0.0000 5.0439 5.0439 5.0439 0.0000" Properties=species:S:1:pos:R:3 pbc="T T T"
Li 2.5219 2.5219 2.5219
Li 7.5658 7.5658 7.5658
Be 0.0000 0.0000 0.0000
Be 5.0439 3.9133 1.8025
Be 8.2853 5.0439 3.9133
Be 6.1744 1.8025 5.0439
Be 6.1744 5.0439 3.2414
Be 5.0439 3.2414 3.9133
Be 6.8463 3.9133 5.0439
Be 5.0439 6.1744 1.8025
Be 3.9133 1.8025 5.0439
Be 8.2853 5.0439 6.1744
Be 3.9133 5.0439 3.2414
Be 6.8463 6.1744 5.0439
Be 5.0439 3.2414 6.1744
Be 5.0439 5.0439 5.0439
Be 5.0439 6.8463 3.9133
Be 3.2414 3.9133 5.0439
Be 6.1744 5.0439 6.8463
Be 1.8025 5.0439 3.9133
Be 6.1744 8.2853 5.0439
Be 5.0439 3.9133 8.2853
Be 3.2414 6.1744 5.0439
Be 5.0439 6.8463 6.1744
Be 3.9133 5.0439 6.8463
Be 3.9133 8.2853 5.0439
Be 1.8025 5.0439 6.1744
Be 5.0439 6.1744 8.2853
```

Diffraction record for In6Sn2Hg3. The powder X-ray diffraction pattern is simulated, not measured: it uses a GGA-PBE-relaxed structure and Cu Kα (λ = 1.5418 Å).

Peak list (10 most intense, 2θ = 15–90°, low angle first)
| two_theta | intensity |
| --- | --- |
| 33.45 | 98 |
| 33.61 | 100 |
| 48.15 | 35 |
| 59.70 | 16 |
| 60.01 | 36 |
| 60.11 | 19 |
| 70.28 | 10 |
| 70.66 | 12 |
| 80.20 | 14 |
| 80.48 | 16 |

Cell and atoms:
```
11
Lattice="2.6661 1.5393 12.0578 -2.6661 1.5393 12.0578 0.0000 -3.0786 12.0578" Properties=species:S:1:pos:R:3 pbc="T T T"
In 0.0000 0.0000 3.3421
In 0.0000 0.0000 6.7495
In 0.0000 0.0000 13.2066
In 0.0000 0.0000 22.9667
In 0.0000 0.0000 29.4238
In 0.0000 0.0000 32.8312
Sn 0.0000 0.0000 16.4818
Sn 0.0000 0.0000 19.6914
Hg 0.0000 0.0000 0.0000
Hg 0.0000 0.0000 9.9947
Hg 0.0000 0.0000 26.1785
```

Diffraction record for La4NdAg. The powder X-ray diffraction pattern is simulated, not measured: it uses a GGA-PBE-relaxed structure and Cu Kα (λ = 1.5418 Å).

Peak list (10 most intense, 2θ = 15–90°, low angle first)
| two_theta | intensity |
| --- | --- |
| 28.41 | 22 |
| 28.79 | 38 |
| 29.54 | 100 |
| 31.04 | 64 |
| 31.59 | 64 |
| 36.30 | 39 |
| 42.58 | 15 |
| 42.84 | 27 |
| 54.29 | 18 |
| 59.93 | 14 |

Cell and atoms:
```
12
Lattice="2.8813 -10.5491 0.0000 2.8813 10.5491 0.0000 0.0000 0.0000 6.5816" Properties=species:S:1:pos:R:3 pbc="T T T"
La 2.8813 9.7442 3.2908
La 2.8813 6.6379 2.1176
La 2.8813 5.1933 4.8562
La 2.8813 1.2840 4.4320
La 2.8813 -1.2840 1.1412
La 2.8813 -5.1933 1.5654
La 2.8813 -6.6379 5.4084
La 2.8813 -9.7442 0.0000
Nd 2.8813 2.7762 1.2201
Nd 2.8813 -2.7762 4.5109
Ag 2.8813 8.2308 6.0750
Ag 2.8813 -8.2308 2.7842
```

Diffraction record for Tm8TlTc2. The powder X-ray diffraction pattern is simulated, not measured: it uses a GGA-PBE-relaxed structure and Cu Kα (λ = 1.5418 Å).

Peak list (10 most intense, 2θ = 15–90°, low angle first)
| two_theta | intensity |
| --- | --- |
| 28.38 | 20 |
| 31.44 | 70 |
| 31.62 | 65 |
| 33.47 | 45 |
| 34.13 | 73 |
| 35.69 | 100 |
| 43.10 | 21 |
| 49.38 | 23 |
| 62.12 | 20 |
| 66.08 | 18 |

Cell and atoms:
```
11
Lattice="-2.6268 7.7792 3.4380 2.6268 -7.7792 3.4380 2.6268 7.7792 -3.4380" Properties=species:S:1:pos:R:3 pbc="T T T"
Tm 0.0000 0.0000 0.0000
Tm 2.6268 2.6408 -0.5797
Tm 2.6268 -3.2563 2.6153
Tm 2.6268 0.0000 1.8568
Tm 2.6268 6.0538 0.3719
Tm 2.6268 3.2563 2.6153
Tm 0.0000 1.7254 3.8100
Tm 0.0000 5.1384 2.8583
Tl 0.0000 7.7792 1.4006
Tc 2.6268 5.2174 -2.1723
Tc 0.0000 2.5618 1.2657
```

Diffraction record for Li2PmWN4. The powder X-ray diffraction pattern is simulated, not measured: it uses a GGA-PBE-relaxed structure and Cu Kα (λ = 1.5418 Å).

Peak list (10 most intense, 2θ = 15–90°, low angle first)
| two_theta | intensity |
| --- | --- |
| 23.20 | 100 |
| 26.17 | 31 |
| 33.05 | 33 |
| 35.26 | 76 |
| 42.64 | 43 |
| 47.43 | 20 |
| 53.45 | 19 |
| 54.98 | 18 |
| 60.46 | 33 |
| 64.66 | 15 |

Cell and atoms:
```
8
Lattice="-2.7107 2.7107 3.4046 2.7107 -2.7107 3.4046 2.7107 2.7107 -3.4046" Properties=species:S:1:pos:R:3 pbc="T T T"
Li 2.7107 0.0000 1.7023
Li 0.0000 2.7107 1.7023
Pm 0.0000 0.0000 0.0000
W 0.0000 0.0000 3.4046
N 1.1024 -1.1024 2.3485
N 1.6083 1.6083 1.0561
N -1.1024 1.1024 2.3485
N 1.1024 1.1024 4.4606
```

Diffraction record for Co2Ni2Pt5. The powder X-ray diffraction pattern is simulated, not measured: it uses a GGA-PBE-relaxed structure and Cu Kα (λ = 1.5418 Å).

Peak list (10 most intense, 2θ = 15–90°, low angle first)
| two_theta | intensity |
| --- | --- |
| 41.03 | 100 |
| 47.34 | 17 |
| 47.63 | 16 |
| 48.24 | 16 |
| 69.41 | 10 |
| 69.90 | 10 |
| 83.70 | 12 |
| 84.13 | 12 |
| 85.04 | 12 |
| 88.99 | 11 |

Cell and atoms:
```
9
Lattice="4.2887 -1.8865 0.0000 4.2887 1.8865 0.0000 -2.6101 0.0000 7.6944" Properties=species:S:1:pos:R:3 pbc="T T T"
Co 0.4336 0.0000 3.0160
Co 5.5337 0.0000 4.6784
Ni 1.2837 0.0000 0.4422
Ni 4.6836 0.0000 7.2521
Pt -0.3905 0.0000 5.5579
Pt 3.8367 0.0000 1.2426
Pt 2.9837 0.0000 3.8472
Pt 2.1306 0.0000 6.4518
Pt 6.3578 0.0000 2.1364
```

Diffraction record for NbCrTe4. The powder X-ray diffraction pattern is simulated, not measured: it uses a GGA-PBE-relaxed structure and Cu Kα (λ = 1.5418 Å).

Peak list (10 most intense, 2θ = 15–90°, low angle first)
| two_theta | intensity |
| --- | --- |
| 24.45 | 25 |
| 30.49 | 100 |
| 30.63 | 38 |
| 37.30 | 19 |
| 37.44 | 40 |
| 46.87 | 30 |
| 47.31 | 13 |
| 49.06 | 13 |
| 49.56 | 25 |
| 50.11 | 12 |

Cell and atoms:
```
6
Lattice="6.3510 0.0000 0.0000 0.0000 3.7141 0.0000 -0.0536 0.0000 7.2815" Properties=species:S:1:pos:R:3 pbc="T T T"
Nb 0.0000 0.0000 0.0000
Cr 3.1755 1.8570 0.0000
Te 1.1254 1.8570 1.7967
Te 2.1403 0.0000 5.5496
Te 4.1571 0.0000 1.7319
Te 5.1720 1.8570 5.4847
```

Diffraction record for LiTa2Cd. The powder X-ray diffraction pattern is simulated, not measured: it uses a GGA-PBE-relaxed structure and Cu Kα (λ = 1.5418 Å).

Peak list (10 most intense, 2θ = 15–90°, low angle first)
| two_theta | intensity |
| --- | --- |
| 17.22 | 88 |
| 19.79 | 29 |
| 34.85 | 65 |
| 38.29 | 100 |
| 39.74 | 45 |
| 40.20 | 87 |
| 43.60 | 17 |
| 53.87 | 37 |
| 64.78 | 21 |
| 66.11 | 20 |

Cell and atoms:
```
4
Lattice="2.6734 -5.1485 0.0000 2.6734 5.1485 0.0000 -1.0253 0.0000 2.6418" Properties=species:S:1:pos:R:3 pbc="T T T"
Li 0.0000 0.0000 0.0000
Ta 0.8241 2.5742 1.3209
Ta 0.8241 -2.5742 1.3209
Cd 2.6734 0.0000 0.0000
```

Diffraction record for SmZnRh3. The powder X-ray diffraction pattern is simulated, not measured: it uses a GGA-PBE-relaxed structure and Cu Kα (λ = 1.5418 Å).

Peak list (10 most intense, 2θ = 15–90°, low angle first)
| two_theta | intensity |
| --- | --- |
| 30.90 | 88 |
| 31.43 | 28 |
| 36.84 | 45 |
| 37.70 | 58 |
| 39.07 | 81 |
| 40.77 | 62 |
| 41.33 | 67 |
| 42.55 | 100 |
| 59.46 | 32 |
| 65.75 | 27 |

Cell and atoms:
```
10
Lattice="-2.7003 3.7171 4.4264 2.7003 -3.7171 4.4264 2.7003 3.7171 -4.4264" Properties=species:S:1:pos:R:3 pbc="T T T"
Sm 0.0000 1.8585 0.0530
Sm 2.7003 1.8585 4.3734
Zn 2.7003 0.0000 0.0000
Zn 0.0000 0.0000 4.4264
Rh 2.7003 1.8585 -1.7483
Rh 1.3502 4.1429 -2.2132
Rh 1.3502 0.4258 2.2132
Rh -1.3502 3.2913 2.2132
Rh 1.3502 3.2913 2.2132
Rh 0.0000 1.8585 6.1747
```

Diffraction record for Tm8SiBi2. The powder X-ray diffraction pattern is simulated, not measured: it uses a GGA-PBE-relaxed structure and Cu Kα (λ = 1.5418 Å).

Peak list (10 most intense, 2θ = 15–90°, low angle first)
| two_theta | intensity |
| --- | --- |
| 30.38 | 38 |
| 32.56 | 100 |
| 32.88 | 65 |
| 35.71 | 35 |
| 49.36 | 14 |
| 51.70 | 13 |
| 61.22 | 12 |
| 62.18 | 14 |
| 63.69 | 11 |
| 64.43 | 13 |

Cell and atoms:
```
11
Lattice="9.0747 -2.5143 0.0000 9.0747 2.5143 0.0000 -0.2500 0.0000 6.7247" Properties=species:S:1:pos:R:3 pbc="T T T"
Tm 0.4357 0.0000 1.7460
Tm 3.8998 0.0000 0.9364
Tm 6.2004 0.0000 3.9637
Tm 7.4161 0.0000 0.4958
Tm 10.4834 0.0000 6.2289
Tm 11.6991 0.0000 2.7610
Tm 13.9997 0.0000 5.7883
Tm 17.4638 0.0000 4.9787
Si 8.9497 0.0000 3.3624
Bi 2.9402 0.0000 4.5548
Bi 14.9593 0.0000 2.1699
```